Structure and simulated PXRD pattern of Li4Mn3Nb3Sb2O16 (the GGA+U geometry in Alexandria; Cu Kα, 1.54184 Å).
Lines closer than 0.1° are merged.

Atomic structure:
abc: 6.0738 6.1217 10.5685
angles: 89.20 89.31 60.36
Sites, in units of the cell vectors:
Li  0.0000  0.0000  0.0000
Li  0.0108  0.9885  0.5194
Li  0.3447  0.3239  0.6130
Li  0.6786  0.6525  0.1126
Mn  0.1744  0.1532  0.2994
Mn  0.3494  0.8210  0.7881
Mn  0.8361  0.3277  0.7863
Nb  0.1602  0.6745  0.2789
Nb  0.6379  0.1580  0.2984
Nb  0.8209  0.8119  0.7768
Sb  0.3283  0.3275  0.9815
Sb  0.6616  0.6244  0.5124
O  0.0216  0.4968  0.1956
O  0.1501  0.1633  0.8931
O  0.1567  0.6764  0.8990
O  0.3152  0.8129  0.4119
O  0.3346  0.3376  0.4041
O  0.4989  0.4822  0.1932
O  0.5097  0.9955  0.1931
O  0.5282  0.9698  0.6682
O  0.5385  0.4929  0.6692
O  0.6821  0.1533  0.8905
O  0.6839  0.6494  0.8968
O  0.8417  0.2867  0.4074
O  0.8568  0.8472  0.3986
O  0.9927  0.5037  0.6800
O  0.9959  0.9957  0.1858
O  0.9975  0.9960  0.6984

Largest 10 diffraction maxima, in order of falling intensity, 2θ from 5° to 70°:
- 16.8 deg, d = 5.282 Å, I = 100
- 18.8 deg, d = 4.724 Å, I = 94
- 33.8 deg, d = 2.650 Å, I = 66
- 30.3 deg, d = 2.949 Å, I = 65
- 18.9 deg, d = 4.688 Å, I = 64
- 34.0 deg, d = 2.639 Å, I = 48
- 35.0 deg, d = 2.565 Å, I = 43
- 18.6 deg, d = 4.761 Å, I = 38
- 55.9 deg, d = 1.646 Å, I = 37
- 23.8 deg, d = 3.735 Å, I = 36